Record 1
For ReH3O5, DFT lattice parameters and positions (PBE) gives the calculated X-ray diffraction stick pattern in this record (a wavelength of 1.5418 Å).

Peak list (10 most intense, 5 to 70 degrees two-theta, sorted by position)
d = 5.332 Å, 2θ = 16.6°, I = 69, (0 1 0); d = 5.270 Å, 2θ = 16.8°, I = 57, (0 1 1); d = 5.153 Å, 2θ = 17.2°, I = 60, (1 0 0); d = 4.941 Å, 2θ = 18.0°, I = 52, (1 0 1); d = 3.548 Å, 2θ = 25.1°, I = 54, (0 1 -1); d = 3.493 Å, 2θ = 25.5°, I = 92, (1 1 0); d = 3.455 Å, 2θ = 25.8°, I = 60, (-1 1 1); d = 3.355 Å, 2θ = 26.6°, I = 79, (1 -1 1); d = 3.329 Å, 2θ = 26.8°, I = 100, (1 1 2); d = 1.983 Å, 2θ = 45.8°, I = 34, (2 2 2)

Structure:
```
data_ReH3O5
_chemical_formula_sum 'Re2 H6 O10'
_space_group_name_H-M_alt 'P 1'
_space_group_IT_number 1
_cell_length_a 5.459
_cell_length_b 5.778
_cell_length_c 7.587
_cell_angle_alpha 68.46
_cell_angle_beta 72.08
_cell_angle_gamma 89.91
loop_
_space_group_symop_operation_xyz
'x,y,z'
loop_
_atom_site_label
_atom_site_fract_x
_atom_site_fract_y
_atom_site_fract_z
Re1 0.000 0.000 0.000
Re2 0.245 0.760 0.505
H1 0.358 0.502 0.107
H2 0.483 0.363 0.953
H3 0.558 0.661 0.884
H4 0.603 0.410 0.436
H5 0.648 0.142 0.611
H6 0.849 0.238 0.382
O1 0.059 0.701 0.140
O2 0.198 0.051 0.342
O3 0.298 0.196 0.859
O4 0.403 0.812 0.660
O5 0.434 0.589 0.371
O6 0.517 0.497 0.000
O7 0.736 0.290 0.488
O8 0.806 0.129 0.162
O9 0.829 0.973 0.844
O10 0.945 0.588 0.655
```



Record 2
For ReH3O5, DFT lattice parameters and positions (PBE) gives the calculated X-ray diffraction stick pattern in this record (a wavelength of 1.5418 Å).

Peak list (10 most intense, 5 to 70 degrees two-theta, sorted by position)
d = 5.833 Å, 2θ = 15.2°, I = 59, (0 1 0); d = 5.507 Å, 2θ = 16.1°, I = 100, (0 1 1); d = 5.255 Å, 2θ = 16.9°, I = 40, (1 0 1); d = 3.712 Å, 2θ = 24.0°, I = 50, (1 1 0); d = 3.511 Å, 2θ = 25.4°, I = 42, (1 -1 1); d = 3.497 Å, 2θ = 25.5°, I = 42, (-1 1 1); d = 3.394 Å, 2θ = 26.3°, I = 37, (1 1 2); d = 3.235 Å, 2θ = 27.6°, I = 35, (0 2 1); d = 3.036 Å, 2θ = 29.4°, I = 20, (2 0 1); d = 2.242 Å, 2θ = 40.2°, I = 15, (0 2 -1)

Structure:
```
data_ReH3O5
_chemical_formula_sum 'Re2 H6 O10'
_space_group_name_H-M_alt 'P 1'
_space_group_IT_number 1
_cell_length_a 6.085
_cell_length_b 6.493
_cell_length_c 7.031
_cell_angle_alpha 65.67
_cell_angle_beta 66.93
_cell_angle_gamma 88.76
loop_
_space_group_symop_operation_xyz
'x,y,z'
loop_
_atom_site_label
_atom_site_fract_x
_atom_site_fract_y
_atom_site_fract_z
Re1 0.000 0.000 0.000
Re2 0.259 0.755 0.476
H1 0.352 0.189 0.219
H2 0.426 0.579 0.913
H3 0.468 0.565 0.159
H4 0.671 0.504 0.933
H5 0.709 0.171 0.628
H6 0.775 0.201 0.382
O1 0.098 0.764 0.166
O2 0.221 0.054 0.327
O3 0.242 0.228 0.828
O4 0.388 0.745 0.659
O5 0.458 0.640 0.298
O6 0.496 0.491 0.025
O7 0.755 0.085 0.176
O8 0.759 0.289 0.470
O9 0.908 0.925 0.827
O10 0.976 0.589 0.645
```



Record 3
For ReH3O5, DFT lattice parameters and positions (PBE) gives the calculated X-ray diffraction stick pattern in this record (a wavelength of 1.5418 Å).

Peak list (10 most intense, 5 to 70 degrees two-theta, sorted by position)
d = 5.637 Å, 2θ = 15.7°, I = 48, (0 1 0); d = 5.364 Å, 2θ = 16.5°, I = 100, (1 0 0); d = 5.235 Å, 2θ = 16.9°, I = 54, (0 1 -1); d = 3.611 Å, 2θ = 24.7°, I = 53, (-1 1 1); d = 3.570 Å, 2θ = 24.9°, I = 53, (1 1 0); d = 3.388 Å, 2θ = 26.3°, I = 44, (1 -1 1); d = 3.369 Å, 2θ = 26.5°, I = 41, (1 1 -2); d = 3.329 Å, 2θ = 26.8°, I = 32, (1 0 -2); d = 3.041 Å, 2θ = 29.4°, I = 24, (0 2 -1); d = 3.000 Å, 2θ = 29.8°, I = 44, (2 0 -1)

Structure:
```
data_ReH3O5
_chemical_formula_sum 'Re2 H6 O10'
_space_group_name_H-M_alt 'P 1'
_space_group_IT_number 1
_cell_length_a 5.998
_cell_length_b 6.107
_cell_length_c 7.157
_cell_angle_alpha 110.14
_cell_angle_beta 114.68
_cell_angle_gamma 90.73
loop_
_space_group_symop_operation_xyz
'x,y,z'
loop_
_atom_site_label
_atom_site_fract_x
_atom_site_fract_y
_atom_site_fract_z
Re1 0.000 0.000 0.000
Re2 0.236 0.725 0.500
H1 0.399 0.354 0.975
H2 0.475 0.525 0.858
H3 0.616 0.295 0.449
H4 0.682 0.520 0.121
H5 0.784 0.168 0.623
H6 0.798 0.125 0.373
O1 0.033 0.717 0.861
O2 0.209 0.998 0.669
O3 0.291 0.192 0.150
O4 0.372 0.782 0.346
O5 0.431 0.575 0.660
O6 0.502 0.500 0.003
O7 0.775 0.238 0.504
O8 0.791 0.105 0.803
O9 0.872 0.983 0.177
O10 0.937 0.548 0.314
```



Record 4
For ReH3O5, DFT lattice parameters and positions (PBE) gives the calculated X-ray diffraction stick pattern in this record (a wavelength of 1.5418 Å).

Peak list (10 most intense, 5 to 70 degrees two-theta, sorted by position)
d = 5.545 Å, 2θ = 16.0°, I = 100, (1 0 0); d = 5.433 Å, 2θ = 16.3°, I = 50, (0 1 1); d = 5.339 Å, 2θ = 16.6°, I = 46, (1 0 1); d = 3.644 Å, 2θ = 24.4°, I = 52, (1 1 0); d = 3.559 Å, 2θ = 25.0°, I = 46, (-1 1 1); d = 3.503 Å, 2θ = 25.4°, I = 43, (1 -1 1); d = 3.468 Å, 2θ = 25.7°, I = 42, (1 1 2); d = 3.051 Å, 2θ = 29.3°, I = 23, (0 2 1); d = 2.652 Å, 2θ = 33.8°, I = 23, (1 -2 0); d = 1.842 Å, 2θ = 49.5°, I = 25, (1 -3 0)

Structure:
```
data_ReH3O5
_chemical_formula_sum 'Re2 H6 O10'
_space_group_name_H-M_alt 'P 1'
_space_group_IT_number 1
_cell_length_a 6.046
_cell_length_b 6.104
_cell_length_c 7.430
_cell_angle_alpha 66.84
_cell_angle_beta 68.31
_cell_angle_gamma 89.40
loop_
_space_group_symop_operation_xyz
'x,y,z'
loop_
_atom_site_label
_atom_site_fract_x
_atom_site_fract_y
_atom_site_fract_z
Re1 0.000 0.000 0.000
Re2 0.243 0.732 0.506
H1 0.393 0.464 0.106
H2 0.426 0.645 0.820
H3 0.644 0.346 0.474
H4 0.654 0.493 0.911
H5 0.774 0.149 0.596
H6 0.795 0.167 0.306
O1 0.042 0.716 0.150
O2 0.214 0.015 0.340
O3 0.281 0.180 0.843
O4 0.376 0.775 0.671
O5 0.432 0.595 0.353
O6 0.489 0.528 0.953
O7 0.768 0.243 0.456
O8 0.802 0.132 0.168
O9 0.868 0.974 0.835
O10 0.961 0.551 0.664
```